(1)
The following is a calculated PXRD pattern of Ac2BHPd6. It was derived from a crystal structure in Alexandria, relaxed with GGA-PBE, using Cu Kα.
Intensities are scaled so that the largest is 100.

Cell and atoms:
abc: 8.7508 8.9176 6.1169
angles: 90.00 133.65 90.00
Space group C2/m (No. 12)
Symmetry-distinct sites (fractional):
Ac  0.0000  0.2452  0.0000 [4 per cell]
B  0.0000  0.0000  0.5000 [2 per cell]
H  0.0000  0.5000  0.5000 [2 per cell]
Pd  0.0000  0.2511  0.5000 [4 per cell]
Pd  0.2378  0.5000  0.4910 [4 per cell]
Pd  0.2411  0.5000  0.9915 [4 per cell]

Most intense lines, 2θ from 15° to 90°, in order of rising 2θ:
2theta  intensity  h k l
34.75  100  2 2 0
35.60  94  2 2 -2
40.46  34  0 4 0
40.77  33  0 0 2
41.29  32  4 0 -2
58.79  23  0 4 2
59.19  22  4 4 -2
69.88  26  2 6 0
70.44  13  2 6 -2
70.56  12  6 2 -2
71.38  12  2 2 -4
72.10  12  6 2 -4



(2)
The following is a calculated PXRD pattern of Na3UIn3Se8. It was derived from a crystal structure in Alexandria, relaxed with GGA-PBE, using Cu Kα.
Intensities are scaled so that the largest is 100.

Cell and atoms:
abc: 8.0880 8.0880 21.3866
angles: 90.00 90.00 120.00
Space group R-3m (No. 166, hexagonal axes)
Symmetry-distinct sites (fractional):
Na  0.0000  0.5000  0.0000 [9 per cell]
U  0.0000  0.0000  0.5000 [3 per cell]
In  0.0000  0.5000  0.5000 [9 per cell]
Se  0.0000  0.0000  0.2387 [6 per cell]
Se  0.0007  0.5003  0.2418 [18 per cell]

Most intense lines, 2θ from 15° to 90°, in order of rising 2θ:
2theta  intensity  h k l
25.78  20  0 2 1
30.51  100  0 2 4
39.13  18  0 2 7
42.54  37  2 0 8
44.82  35  2 2 0
46.69  14  2 2 3
53.94  9  2 0 11
55.19  19  4 0 4
63.51  11  0 4 8
70.42  14  2 2 12
73.74  16  2 4 4
81.06  11  4 2 8



(3)
The following is a calculated PXRD pattern of PrZnSn3. It was derived from a crystal structure in Alexandria, relaxed with GGA-PBE, using Cu Kα.
Intensities are scaled so that the largest is 100.

Cell and atoms:
abc: 12.8663 6.3435 6.3172
angles: 90.00 90.00 90.00
Space group Pbcm (No. 57)
Symmetry-distinct sites (fractional):
Pr  0.1960  0.0075  0.2500 [4 per cell]
Zn  0.3836  0.2500  0.0000 [4 per cell]
Sn  0.9997  0.2500  0.0000 [4 per cell]
Sn  0.2561  0.5156  0.2500 [4 per cell]
Sn  0.4400  0.6497  0.7500 [4 per cell]

Most intense lines, 2θ from 15° to 90°, in order of rising 2θ:
2theta  intensity  h k l
31.45  100  2 2 0
31.56  54  2 0 2
32.37  25  1 2 1
34.33  56  4 1 1
34.62  36  2 1 2
34.87  30  5 0 0
35.25  84  3 0 2
40.30  60  0 2 2
54.32  24  5 2 2
58.40  34  0 0 4
67.70  29  2 4 2
67.88  23  2 2 4



(4)
The following is a calculated PXRD pattern of K3PmU3Te8. It was derived from a crystal structure in Alexandria, relaxed with GGA-PBE, using Cu Kα.
Intensities are scaled so that the largest is 100.

Cell and atoms:
abc: 8.9915 9.0170 9.8417
angles: 62.86 62.88 60.17
Space group P-1 (No. 2)
Symmetry-distinct sites (fractional):
K  0.0000  0.0000  0.0000 [1 per cell]
K  0.0000  0.5000  0.0000 [1 per cell]
K  0.5000  0.0000  0.0000 [1 per cell]
Pm  0.0000  0.0000  0.5000 [1 per cell]
U  0.0000  0.5000  0.5000 [1 per cell]
U  0.5000  0.0000  0.5000 [1 per cell]
U  0.5000  0.5000  0.5000 [1 per cell]
Te  0.2397  0.2404  0.2892 [2 per cell]
Te  0.2398  0.7302  0.2900 [2 per cell]
Te  0.2622  0.2632  0.7117 [2 per cell]
Te  0.2689  0.7599  0.7113 [2 per cell]

Most intense lines, 2θ from 15° to 90°, in order of rising 2θ:
2theta  intensity  h k l
23.07  15  0 2 1
26.91  100  2 2 0
33.96  24  2 0 3
36.76  37  2 2 4
39.97  24  2 4 2
40.11  12  4 2 2
41.46  11  2 4 1
46.09  14  2 2 5
48.94  13  4 4 4
60.37  9  2 4 6
64.90  8  2 6 4
70.04  9  2 4 7